No. 1
Calculated X-ray diffraction stick pattern of TiP2O7 for Cu Kα X-rays, from a PBE-relaxed structure.
Lines closer than 0.1° are merged.

Crystal structure
```
data_TiP2O7
_cell_length_a 4.9168
_cell_length_b 8.1322
_cell_length_c 7.0349
_cell_angle_alpha 90.00
_cell_angle_beta 105.79
_cell_angle_gamma 90.00
_space_group_name_H-M_alt 'P 1 21 1'
_space_group_IT_number 4
loop_
_space_group_symop_operation_xyz
'x,y,z'
'-x,y+1/2,-z'
loop_
_atom_site_label
_atom_site_type_symbol
_atom_site_fract_x
_atom_site_fract_y
_atom_site_fract_z
Ti1 Ti 0.2099 0.0000 0.2278
P1 P 0.2456 0.7357 0.6067
P2 P 0.3896 0.3189 0.0100
O1 O 0.0125 0.1766 0.3328
O2 O 0.1497 0.4440 0.9605
O3 O 0.1611 0.8400 0.4193
O4 O 0.2795 0.1443 0.0227
O5 O 0.4190 0.8641 0.7711
O6 O 0.4213 0.8295 0.1297
O7 O 0.4441 0.5929 0.5941
```

The 6 most intense peaks (10 to 90 degrees two-theta), in order of rising 2θ:
2θ (°)  I_rel  (hkl)
17.04  100  0 1 1
21.73  24  1 1 0
22.60  43  1 1 -1
28.02  25  1 1 1
29.63  43  1 2 -1
30.05  17  1 1 -2

***

No. 2
Calculated X-ray diffraction stick pattern of Mg6AlFe for Cu Kα X-rays, from a PBE-relaxed structure.
Lines closer than 0.1° are merged.

Crystal structure
```
data_Mg6AlFe
_cell_length_a 4.8128
_cell_length_b 6.1319
_cell_length_c 10.5899
_cell_angle_alpha 90.00
_cell_angle_beta 90.00
_cell_angle_gamma 90.00
_space_group_name_H-M_alt 'A m m 2'
_space_group_IT_number 38
loop_
_space_group_symop_operation_xyz
'x,y,z'
'-x,-y,z'
'-x,y,z'
'x,-y,z'
'x,y+1/2,z+1/2'
'-x,-y+1/2,z+1/2'
'-x,y+1/2,z+1/2'
'x,-y+1/2,z+1/2'
loop_
_atom_site_label
_atom_site_type_symbol
_atom_site_fract_x
_atom_site_fract_y
_atom_site_fract_z
Mg1 Mg 0.0000 0.0000 0.0000
Mg2 Mg 0.0000 0.2384 0.2550
Mg3 Mg 0.5000 0.0000 0.8338
Mg4 Mg 0.5000 0.2458 0.5825
Al1 Al 0.0000 0.0000 0.4871
Fe1 Fe 0.5000 0.0000 0.3452
```

The 6 most intense peaks (10 to 90 degrees two-theta), in order of rising 2θ:
2θ (°)  I_rel  (hkl)
16.72  16  0 0 2
33.80  26  0 2 2
37.37  25  2 0 0
38.78  100  1 0 4
51.27  15  2 2 2
68.34  17  3 0 4

***

No. 3
Calculated X-ray diffraction stick pattern of Tb4Cu7Sn11 for Cu Kα X-rays, from a PBE-relaxed structure.
Lines closer than 0.1° are merged.

Crystal structure
```
data_Tb4Cu7Sn11
_cell_length_a 4.4179
_cell_length_b 4.4179
_cell_length_c 25.2409
_cell_angle_alpha 90.00
_cell_angle_beta 90.00
_cell_angle_gamma 90.00
_space_group_name_H-M_alt 'P 4 m m'
_space_group_IT_number 99
loop_
_space_group_symop_operation_xyz
'x,y,z'
'-y,x,z'
'-x,-y,z'
'y,-x,z'
'-x,y,z'
'y,x,z'
'x,-y,z'
'-y,-x,z'
loop_
_atom_site_label
_atom_site_type_symbol
_atom_site_fract_x
_atom_site_fract_y
_atom_site_fract_z
Tb1 Tb 0.0000 0.0000 0.0000
Tb2 Tb 0.0000 0.0000 0.3176
Tb3 Tb 0.5000 0.5000 0.4948
Tb4 Tb 0.5000 0.5000 0.8153
Cu1 Cu 0.0000 0.0000 0.4502
Cu2 Cu 0.0000 0.0000 0.5436
Cu3 Cu 0.0000 0.5000 0.4074
Cu4 Cu 0.0000 0.5000 0.9011
Cu5 Cu 0.5000 0.5000 0.0520
Sn1 Sn 0.0000 0.0000 0.8406
Sn2 Sn 0.0000 0.5000 0.1069
Sn3 Sn 0.0000 0.5000 0.2226
Sn4 Sn 0.0000 0.5000 0.6026
Sn5 Sn 0.0000 0.5000 0.7202
Sn6 Sn 0.5000 0.5000 0.3500
Sn7 Sn 0.5000 0.5000 0.9543
```

The 6 most intense peaks (10 to 90 degrees two-theta), in order of rising 2θ:
2θ (°)  I_rel  (hkl)
29.46  71  1 1 2
31.97  39  1 1 4
32.04  33  1 0 7
35.80  100  1 1 6
40.85  86  2 0 0
59.15  30  2 2 0